Record 1
The following is a theoretical PXRD pattern of CaMo2O5. It was derived from a crystal structure in the Materials Project, relaxed with GGA+U, using Cu Kα (weighted mean of Kα1 and Kα2).
Neutral-atom scattering factors, no anomalous dispersion.

Largest 10 diffraction maxima, low angle first, 2θ from 10° to 90°:
- d = 5.480 Å, 16.17 deg, I = 1000, hkl 0 2 0
- d = 3.972 Å, 22.38 deg, I = 593, hkl 1 1 0
- d = 3.754 Å, 23.70 deg, I = 396, hkl 1 1 1
- d = 3.160 Å, 28.24 deg, I = 477, hkl 0 2 3
- d = 2.770 Å, 32.32 deg, I = 827, hkl 1 1 3
- d = 2.696 Å, 33.23 deg, I = 184, hkl 1 3 1
- d = 2.128 Å, 42.49 deg, I = 270, hkl 2 0 0
- d = 1.934 Å, 46.98 deg, I = 146, hkl 0 0 6
- d = 1.765 Å, 51.80 deg, I = 155, hkl 2 2 3
- d = 1.618 Å, 56.92 deg, I = 175, hkl 1 5 4

Crystal structure
```
data_CaMo2O5
_symmetry_space_group_name_H-M 'C m c m'
_symmetry_Int_Tables_number 63
_symmetry_space_group_name_Hall '-C 2c 2'
_cell_length_a 4.255
_cell_length_b 10.960
_cell_length_c 11.605
_cell_angle_alpha 90.00
_cell_angle_beta 90.00
_cell_angle_gamma 90.00
loop_
_atom_site_label
_atom_site_type_symbol
_atom_site_fract_x
_atom_site_fract_y
_atom_site_fract_z
Ca1 Ca 0.000 0.104 0.250
Mo1 Mo 0.000 0.206 0.595
O1 O 0.000 0.042 0.619
O2 O 0.000 0.255 0.075
O3 O 0.000 0.299 0.750
```

---

Record 2
The following is a theoretical PXRD pattern of Ca2Mo3O8. It was derived from a crystal structure in the Materials Project, relaxed with GGA+U, using Cu Kα (weighted mean of Kα1 and Kα2).
Neutral-atom scattering factors, no anomalous dispersion.

Largest 10 diffraction maxima, low angle first, 2θ from 10° to 90°:
- d = 5.184 Å, 17.11 deg, I = 1000, hkl 0 0 2
- d = 4.919 Å, 18.03 deg, I = 293, hkl 1 0 1
- d = 3.800 Å, 23.41 deg, I = 310, hkl 1 0 2
- d = 2.939 Å, 30.41 deg, I = 321, hkl 1 0 3
- d = 2.739 Å, 32.69 deg, I = 413, hkl 1 1 2
- d = 2.698 Å, 33.21 deg, I = 808, hkl 2 0 1
- d = 2.460 Å, 36.53 deg, I = 230, hkl 2 0 2
- d = 2.173 Å, 41.56 deg, I = 390, hkl 2 0 3
- d = 1.665 Å, 55.16 deg, I = 414, hkl 2 0 5
- d = 1.613 Å, 57.10 deg, I = 335, hkl 2 2 0

Crystal structure
```
data_Ca2Mo3O8
_symmetry_space_group_name_H-M 'P 63 m c'
_symmetry_Int_Tables_number 186
_symmetry_space_group_name_Hall 'P 6c -2c'
_cell_length_a 6.4527
_cell_length_b 6.4527
_cell_length_c 10.3670
_cell_angle_alpha 90.00
_cell_angle_beta 90.00
_cell_angle_gamma 120.00
loop_
_atom_site_label
_atom_site_type_symbol
_atom_site_fract_x
_atom_site_fract_y
_atom_site_fract_z
Ca1 Ca 0.3333 0.6667 0.0000
Ca2 Ca 0.3333 0.6667 0.3864
Mo1 Mo 0.1640 0.3281 0.7172
O1 O 0.0000 0.0000 0.3202
O2 O 0.0517 0.5258 0.8272
O3 O 0.1616 0.3232 0.1302
O4 O 0.3333 0.6667 0.6082
```

---

Record 3
The following is a theoretical PXRD pattern of CaMo2O5. It was derived from a crystal structure in the Materials Project, relaxed with GGA+U, using Cu Kα (weighted mean of Kα1 and Kα2).
Neutral-atom scattering factors, no anomalous dispersion.

Largest 10 diffraction maxima, low angle first, 2θ from 10° to 90°:
- d = 5.215 Å, 17.00 deg, I = 1000, hkl 0 1 0
- d = 4.074 Å, 21.82 deg, I = 394, hkl 0 1 2
- d = 3.456 Å, 25.78 deg, I = 316, hkl 1 0 -2
- d = 3.263 Å, 27.33 deg, I = 256, hkl 0 0 4
- d = 2.881 Å, 31.04 deg, I = 667, hkl 1 1 -2
- d = 2.769 Å, 32.33 deg, I = 753, hkl 1 0 2
- d = 2.760 Å, 32.44 deg, I = 247, hkl 1 0 -4
- d = 2.607 Å, 34.40 deg, I = 297, hkl 0 2 0
- d = 1.900 Å, 47.89 deg, I = 189, hkl 1 2 2
- d = 1.792 Å, 50.95 deg, I = 188, hkl 2 0 -2

Crystal structure
```
data_CaMo2O5
_symmetry_space_group_name_H-M 'P 1 2/c 1'
_symmetry_Int_Tables_number 13
_cell_length_a 3.585
_cell_length_b 5.215
_cell_length_c 13.518
_cell_angle_alpha 90.00
_cell_angle_beta 105.09
_cell_angle_gamma 90.00
loop_
_symmetry_equiv_pos_as_xyz
'x,y,z'
'-x,-y,-z'
'-x,y,-z+1/2'
'x,-y,z+1/2'
loop_
_atom_site_label
_atom_site_type_symbol
_atom_site_fract_x
_atom_site_fract_y
_atom_site_fract_z
Ca1 Ca 0.000 0.051 0.250
Mo1 Mo 0.352 0.471 0.606
O1 O 0.185 0.384 0.434
O2 O 0.376 0.128 0.641
O3 O 0.500 0.368 0.250
```

---

Record 4
The following is a theoretical PXRD pattern of CaMo3O7. It was derived from a crystal structure in the Materials Project, relaxed with GGA+U, using Cu Kα (weighted mean of Kα1 and Kα2).
Neutral-atom scattering factors, no anomalous dispersion.

Largest 10 diffraction maxima, low angle first, 2θ from 10° to 90°:
- d = 5.253 Å, 16.88 deg, I = 869, hkl 2 0 0
- d = 3.785 Å, 23.50 deg, I = 184, hkl 1 2 1
- d = 3.684 Å, 24.16 deg, I = 284, hkl 2 1 1
- d = 3.211 Å, 27.78 deg, I = 1000, hkl 2 2 1
- d = 3.170 Å, 28.15 deg, I = 248, hkl 0 3 1
- d = 2.901 Å, 30.82 deg, I = 205, hkl 0 0 2
- d = 2.838 Å, 31.52 deg, I = 244, hkl 0 4 0
- d = 2.797 Å, 32.00 deg, I = 281, hkl 1 0 2
- d = 2.205 Å, 40.93 deg, I = 264, hkl 4 2 1
- d = 1.992 Å, 45.53 deg, I = 391, hkl 1 4 2

Crystal structure
```
data_CaMo3O7
_symmetry_space_group_name_H-M 'P n m a'
_symmetry_Int_Tables_number 62
_cell_length_a 10.507
_cell_length_b 11.352
_cell_length_c 5.804
_cell_angle_alpha 90.00
_cell_angle_beta 90.00
_cell_angle_gamma 90.00
loop_
_symmetry_equiv_pos_as_xyz
'x,y,z'
'-x,-y,-z'
'-x+1/2,-y,z+1/2'
'x+1/2,y,-z+1/2'
'x+1/2,-y+1/2,-z+1/2'
'-x+1/2,y+1/2,z+1/2'
'-x,y+1/2,-z'
'x,-y+1/2,z'
loop_
_atom_site_label
_atom_site_type_symbol
_atom_site_fract_x
_atom_site_fract_y
_atom_site_fract_z
Ca1 Ca 0.080 0.250 0.168
Mo1 Mo 0.183 0.518 0.674
Mo2 Mo 0.213 0.750 0.183
O1 O 0.032 0.588 0.726
O2 O 0.040 0.750 0.173
O3 O 0.226 0.113 0.917
O4 O 0.229 0.122 0.450
```